Entry 1:
Diffraction record for NaGdGeO4. The powder X-ray diffraction pattern is calculated, not measured: it uses a DFT-relaxed cell (GGA-PBE, the Materials Project) and a wavelength of 1.5418 Å.

Top 10 peaks for 2θ from 10° to 80°, low angle first:
Position (°2θ)	intensity
15.23	34
18.22	26
22.69	77
27.01	44
28.40	27
31.53	100
32.77	30
33.66	20
46.34	27
50.63	27

Crystal structure
```
28
Lattice="11.6385 0.0000 0.0000 0.0000 6.6033 0.0000 0.0000 0.0000 5.3606" Properties=species:S:1:pos:R:3 pbc="T T T"
Na 0.0000 0.0000 0.0000
Na 0.0000 3.3016 0.0000
Na 5.8193 0.0000 2.6803
Na 5.8193 3.3016 2.6803
Gd 2.5807 1.6508 2.6690
Gd 3.2385 4.9524 5.3493
Gd 8.4000 1.6508 0.0113
Gd 9.0578 4.9524 2.6917
Ge 1.1223 4.9524 2.9844
Ge 4.6970 1.6508 0.3041
Ge 6.9415 4.9524 5.0565
Ge 10.5162 1.6508 2.3762
O 0.5193 1.6508 1.7271
O 1.2727 4.9524 1.2417
O 2.0044 3.5941 3.7954
O 2.0044 6.3108 3.7954
O 3.8149 0.2924 1.1151
O 3.8149 3.0092 1.1151
O 4.5465 1.6508 3.9220
O 5.3000 4.9524 4.4074
O 6.3386 1.6508 0.9532
O 7.0920 4.9524 1.4387
O 7.8236 3.5941 4.2455
O 7.8236 6.3108 4.2455
O 9.6342 0.2924 1.5652
O 9.6342 3.0092 1.5652
O 10.3658 1.6508 4.1190
O 11.1192 4.9524 3.6335
```

---

Entry 2:
Diffraction record for Ca2Si3Ni. The powder X-ray diffraction pattern is calculated, not measured: it uses a DFT-relaxed cell (GGA-PBE, the Materials Project) and a wavelength of 1.5418 Å.

Top 10 peaks for 2θ from 10° to 80°, low angle first:
Position (°2θ)	intensity
10.07	18
20.22	11
27.72	7
32.96	100
41.10	18
45.41	41
57.24	18
62.90	28
69.75	8
75.93	15

Crystal structure
```
6
Lattice="3.9944 0.0000 0.0000 -1.9972 3.4593 0.0000 0.0000 0.0000 8.7841" Properties=species:S:1:pos:R:3 pbc="T T T"
Ca 0.0000 0.0000 2.0670
Ca 0.0000 0.0000 6.7171
Si 0.0000 2.3062 4.3921
Si 1.9972 1.1531 0.0000
Si 1.9972 1.1531 4.3921
Ni 0.0000 2.3062 0.0000
```

---

Entry 3:
Diffraction record for Gd6S3O2F8. The powder X-ray diffraction pattern is calculated, not measured: it uses a DFT-relaxed cell (GGA-PBE, the Materials Project) and a wavelength of 1.5418 Å.

Top 10 peaks for 2θ from 10° to 80°, low angle first:
Position (°2θ)	intensity
24.72	85
27.64	93
27.78	94
27.92	86
31.19	100
31.29	52
33.18	73
35.76	41
48.01	78
56.34	55

Crystal structure
```
38
Lattice="13.2949 0.0000 0.0000 0.0000 3.7896 0.0000 -6.6450 0.0000 11.6443" Properties=species:S:1:pos:R:3 pbc="T T T"
Gd 0.0000 0.0000 0.0000
Gd -4.4624 1.8948 8.8984
Gd -1.5822 1.8948 6.0706
Gd 1.0840 1.8948 3.4294
Gd -1.0201 0.0000 9.7019
Gd 1.7220 0.0000 6.7734
Gd 4.5915 0.0000 4.0360
Gd 6.8861 1.8948 1.3290
Gd 2.8097 0.0000 10.7151
Gd 5.6619 0.0000 7.6868
Gd 7.6994 1.8948 5.3282
Gd 10.4378 1.8948 2.2965
S -3.7735 0.0000 6.8319
S -1.0863 0.0000 3.9101
S 1.0902 1.8948 9.0611
S 3.9237 1.8948 6.1512
S 8.3891 0.0000 2.9047
S 5.0387 1.8948 10.1543
O 0.7055 1.8948 5.7443
O 9.0449 1.8948 0.4485
O 6.3828 0.0000 5.4813
O 7.0208 1.8948 7.5241
F -0.4633 1.8948 1.4882
F -5.2677 1.8948 11.1858
F -3.3080 0.0000 9.9844
F 1.3725 0.0000 1.8865
F -2.0232 1.8948 8.5722
F -0.6793 0.0000 7.2792
F 2.1752 0.0000 4.3831
F -1.3055 1.8948 11.1297
F 3.4063 1.8948 3.0252
F 5.4229 0.0000 1.8045
F 0.4898 0.0000 11.5021
F 5.9769 1.8948 3.5550
F 3.3774 0.0000 8.4403
F 11.0587 0.0000 0.9441
F 9.9798 1.8948 4.5607
F 7.4575 0.0000 9.4317
```

---

Entry 4:
Diffraction record for MgTi2S2Cl12O2. The powder X-ray diffraction pattern is calculated, not measured: it uses a DFT-relaxed cell (GGA-PBE, the Materials Project) and a wavelength of 1.5418 Å.

Top 10 peaks for 2θ from 10° to 80°, low angle first:
Position (°2θ)	intensity
12.12	46
14.12	44
15.52	100
16.30	74
21.47	51
24.69	70
29.19	47
31.28	61
31.52	46
31.77	49

Crystal structure
```
19
Lattice="6.8254 0.0000 0.0000 -3.2626 8.1286 0.0000 -0.2979 -3.1669 10.1636" Properties=species:S:1:pos:R:3 pbc="T T T"
Mg 0.0000 0.0000 0.0000
Ti 0.1492 -0.3693 7.8248
Ti 0.1030 5.3843 0.4370
S 2.7792 3.9344 1.8961
S 4.4162 1.4333 5.9870
Cl -1.2016 0.0741 9.9024
Cl -2.1850 3.1599 9.3689
Cl -1.2318 3.0869 5.5727
Cl 0.6148 0.7696 2.0266
Cl 0.9810 -0.5105 5.7862
Cl -0.8865 5.5512 2.3893
Cl 1.8166 -1.2873 8.9690
Cl 0.8254 1.8659 8.1947
Cl 1.1462 7.5126 0.3390
Cl 2.2396 4.1862 3.8373
Cl 4.4514 0.5373 4.1462
Cl 5.7686 -2.3942 7.8326
O 1.6140 4.5468 1.0505
O 5.1555 0.5538 6.9129
```

---

Entry 5:
Diffraction record for Sb2O3. The powder X-ray diffraction pattern is calculated, not measured: it uses a DFT-relaxed cell (GGA-PBE, the Materials Project) and a wavelength of 1.5418 Å.

Top 10 peaks for 2θ from 10° to 80°, low angle first:
Position (°2θ)	intensity
10.63	94
21.35	38
27.39	62
27.95	53
29.48	39
30.15	100
31.90	50
34.19	57
37.55	52
52.21	48

Crystal structure
```
20
Lattice="1.6783 -6.5134 0.0000 1.6783 6.5134 0.0000 0.0000 0.0000 16.6469" Properties=species:S:1:pos:R:3 pbc="T T T"
Sb 1.6783 5.2813 10.5306
Sb 1.6783 5.2813 14.4397
Sb 1.6783 1.6587 9.2418
Sb 1.6783 1.6587 15.7285
Sb 1.6783 -1.6587 0.9184
Sb 1.6783 -1.6587 7.4051
Sb 1.6783 -5.2813 2.2072
Sb 1.6783 -5.2813 6.1163
O 0.0000 0.0000 0.0000
O 0.0000 0.0000 8.3234
O 1.6783 5.1198 12.4852
O 1.6783 4.1918 1.9241
O 1.6783 4.1918 6.3993
O 1.6783 0.0428 10.6150
O 1.6783 0.0428 14.3554
O 1.6783 -0.0428 2.2915
O 1.6783 -0.0428 6.0319
O 1.6783 -4.1918 10.2476
O 1.6783 -4.1918 14.7228
O 1.6783 -5.1198 4.1617
```

---

Entry 6:
Diffraction record for Tb3Nd. The powder X-ray diffraction pattern is calculated, not measured: it uses a DFT-relaxed cell (GGA-PBE, the Materials Project) and a wavelength of 1.5418 Å.

Top 6 peaks for 2θ from 10° to 80°, low angle first:
Position (°2θ)	intensity
30.49	100
35.35	51
50.86	36
60.47	43
63.46	12
74.78	6

Crystal structure
```
8
Lattice="5.0769 0.0000 0.0000 0.0000 5.0769 0.0000 0.0000 0.0000 10.1607" Properties=species:S:1:pos:R:3 pbc="T T T"
Tb 0.0000 0.0000 0.0000
Tb 0.0000 2.5384 2.5402
Tb 0.0000 2.5384 7.6205
Tb 2.5384 0.0000 2.5402
Tb 2.5384 0.0000 7.6205
Tb 2.5384 2.5384 5.0804
Nd 0.0000 0.0000 5.0804
Nd 2.5384 2.5384 0.0000
```

---

Entry 7:
Diffraction record for Ho3Lu. The powder X-ray diffraction pattern is calculated, not measured: it uses a DFT-relaxed cell (GGA-PBE, the Materials Project) and a wavelength of 1.5418 Å.

Top 10 peaks for 2θ from 10° to 80°, low angle first:
Position (°2θ)	intensity
28.80	24
32.15	24
33.07	100
43.70	16
51.03	20
57.90	20
61.60	23
62.17	16
69.40	4
74.75	3

Crystal structure
```
8
Lattice="7.1590 0.0000 0.0000 -3.5795 6.1998 0.0000 0.0000 0.0000 5.5688" Properties=species:S:1:pos:R:3 pbc="T T T"
Ho 0.0000 2.0715 1.3922
Ho -1.7855 5.1641 1.3922
Ho 1.7939 1.0357 4.1766
Ho 1.7855 5.1641 1.3922
Ho 5.3650 1.0357 4.1766
Ho 3.5795 4.1284 4.1766
Lu 0.0000 4.1332 4.1766
Lu 3.5795 2.0666 1.3922
```

---

Entry 8:
Diffraction record for Na5Dy4Si4O16F. The powder X-ray diffraction pattern is calculated, not measured: it uses a DFT-relaxed cell (GGA-PBE, the Materials Project) and a wavelength of 1.5418 Å.

Top 10 peaks for 2θ from 10° to 80°, low angle first:
Position (°2θ)	intensity
10.71	58
18.00	100
23.62	48
24.09	51
28.19	65
32.16	73
32.95	46
35.74	59
42.09	39
48.32	44

Crystal structure
```
30
Lattice="-5.8411 5.8411 2.7183 5.8411 -5.8411 2.7183 5.8411 5.8411 -2.7183" Properties=species:S:1:pos:R:3 pbc="T T T"
Na 0.0000 0.0000 0.0000
Na 6.8844 1.2242 0.0376
Na 1.2242 4.7979 -0.0376
Na 4.6170 1.0433 2.6807
Na -1.0433 4.6170 2.7559
Dy 4.4907 3.7056 0.1226
Dy 2.1356 -1.3504 2.5957
Dy 3.7056 7.1916 -0.1226
Dy 1.3504 2.1356 2.8409
Si 2.8833 1.2080 -0.0584
Si 4.6331 -2.9578 2.7767
Si 1.2080 8.7990 0.0584
Si 2.9578 4.6331 2.6599
O 6.2378 3.4395 -1.3142
O 4.5242 1.2721 0.0710
O 2.3732 2.7536 -0.3515
O 3.6537 5.2757 -1.4381
O 8.9287 2.3732 0.3515
O 2.1875 0.5654 1.2802
O 4.5690 -1.3169 2.6473
O -0.3966 2.4016 1.4041
O 6.4066 3.6537 1.4381
O 1.2721 7.1581 -0.0710
O 3.4679 3.0875 2.3668
O 3.4395 5.4445 1.3142
O 2.4016 0.3966 4.0325
O -3.0875 3.4679 3.0698
O 1.3169 4.5690 2.7892
O -0.5654 2.1875 4.1564
F 0.0000 0.0000 2.7183
```

---

Copy entry 2 word for word.
Diffraction record for Ca2Si3Ni. The powder X-ray diffraction pattern is calculated, not measured: it uses a DFT-relaxed cell (GGA-PBE, the Materials Project) and a wavelength of 1.5418 Å.

Top 10 peaks for 2θ from 10° to 80°, low angle first:
Position (°2θ)	intensity
10.07	18
20.22	11
27.72	7
32.96	100
41.10	18
45.41	41
57.24	18
62.90	28
69.75	8
75.93	15

Crystal structure
```
6
Lattice="3.9944 0.0000 0.0000 -1.9972 3.4593 0.0000 0.0000 0.0000 8.7841" Properties=species:S:1:pos:R:3 pbc="T T T"
Ca 0.0000 0.0000 2.0670
Ca 0.0000 0.0000 6.7171
Si 0.0000 2.3062 4.3921
Si 1.9972 1.1531 0.0000
Si 1.9972 1.1531 4.3921
Ni 0.0000 2.3062 0.0000
```